1.
Structure and simulated powder diffraction line list of HfZn2Ni9 (DFT lattice parameters and positions (GGA-PBE); a wavelength of 1.5418 Å).
Kinematic intensities with the Lorentz-polarization factor, no thermal factor.

Cell lengths 3.6529, 3.6529, 10.7621 Å; angles 90.00, 90.00, 90.00 degrees
Space group P4/mmm (No. 123)
Unique sites:
Hf: 0.0000 0.0000 0.0000 (multiplicity 1)
Zn: 0.0000 0.0000 0.3392 (multiplicity 2)
Ni: 0.0000 0.5000 0.1763 (multiplicity 4)
Ni: 0.0000 0.5000 0.5000 (multiplicity 2)
Ni: 0.5000 0.5000 0.0000 (multiplicity 1)
Ni: 0.5000 0.5000 0.3370 (multiplicity 2)

Main lines, low angle first (10° ≤ 2θ ≤ 90°):
hkl  Position (°2θ)  I/Imax
1 0 0  24.37  4.1
1 0 1  25.76  5.1
1 0 2  29.56  4.0
1 1 2  38.67  3.6
1 1 3  43.16  100.0
2 0 0  49.93  32.4
0 0 6  50.91  14.5
2 2 0  73.30  9.6
2 0 6  74.08  17.7
3 1 3  89.03  22.8

=====

2.
Structure and simulated powder diffraction line list of TaCd2Si (DFT lattice parameters and positions (GGA-PBE); a wavelength of 1.5418 Å).
Kinematic intensities with the Lorentz-polarization factor, no thermal factor.

Cell lengths 2.8555, 4.2753, 6.6026 Å; angles 90.00, 102.44, 90.00 degrees
Space group Pm (No. 6)
Unique sites:
Ta: 0.0000 0.0000 0.0000 (multiplicity 1)
Cd: 0.2872 0.0000 0.5728 (multiplicity 1)
Cd: 0.6641 0.5000 0.3248 (multiplicity 1)
Si: 0.4575 0.5000 0.9154 (multiplicity 1)

Main lines, low angle first (10° ≤ 2θ ≤ 90°):
hkl  Position (°2θ)  I/Imax
0 1 0  20.78  26.6
0 1 1  24.99  46.5
0 0 2  27.67  23.7
0 1 2  34.85  90.6
1 0 1  37.82  67.3
1 1 -1  38.55  100.0
0 2 0  42.28  37.2
1 1 1  43.54  24.9
1 2 1  58.01  38.0
1 1 -4  63.96  29.9

=====

3.
Structure and simulated powder diffraction line list of In4Co5 (DFT lattice parameters and positions (GGA-PBE); a wavelength of 1.5418 Å).
Kinematic intensities with the Lorentz-polarization factor, no thermal factor.

Cell lengths 7.7475, 7.7475, 5.3443 Å; angles 90.00, 90.00, 120.00 degrees
Space group P6_3/mcm (No. 193)
Unique sites:
In: 0.0000 0.0000 0.0000 (multiplicity 2)
In: 0.0000 0.3743 0.2500 (multiplicity 6)
Co: 0.0000 0.2989 0.7500 (multiplicity 6)
Co: 0.3333 0.6667 0.0000 (multiplicity 4)

Main lines, low angle first (10° ≤ 2θ ≤ 90°):
hkl  Position (°2θ)  I/Imax
2 0 0  26.57  10.9
1 1 1  28.46  17.8
2 1 1  39.33  28.4
3 0 0  40.33  100.0
1 1 2  41.03  98.8
3 1 1  52.04  15.6
2 2 2  58.89  25.5
4 1 2  73.80  22.9
4 2 1  77.34  11.4
3 0 4  84.46  21.4